# 1
# FeNiMo
Computed PXRD pattern, a wavelength of 1.5418 Å. Input: a DFT-relaxed cell (GGA-PBE, the Materials Project).
Intensities are scaled so that the largest is 100.

Largest 6 diffraction maxima, sorted by position, 2θ from 10° to 90°:
d 3.221, I 26.0, hkl 1 1 1; d 2.789, I 31.1, hkl 2 0 0; d 1.972, I 100.0, hkl 2 2 0; d 1.682, I 10.7, hkl 3 1 1; d 1.395, I 15.1, hkl 4 0 0; d 1.139, I 31.1, hkl 4 2 2

Structural model:
```
data_FeNiMo
_chemical_formula_sum 'Fe4 Ni4 Mo4'
_cell_length_a 5.579
_cell_length_b 5.579
_cell_length_c 5.579
_cell_angle_alpha 90.00
_cell_angle_beta 90.00
_cell_angle_gamma 90.00
_space_group_name_H-M_alt 'P 1'
_space_group_IT_number 1
_space_group_name_Hall 'P 1'
loop_
_atom_site_label
_atom_site_type_symbol
_atom_site_fract_x
_atom_site_fract_y
_atom_site_fract_z
Fe1 Fe 0.000 0.000 0.000
Fe2 Fe 0.000 0.500 0.500
Fe3 Fe 0.500 0.000 0.500
Fe4 Fe 0.500 0.500 0.000
Ni1 Ni 0.250 0.250 0.250
Ni2 Ni 0.250 0.750 0.750
Ni3 Ni 0.750 0.250 0.750
Ni4 Ni 0.750 0.750 0.250
Mo1 Mo 0.250 0.250 0.750
Mo2 Mo 0.250 0.750 0.250
Mo3 Mo 0.750 0.250 0.250
Mo4 Mo 0.750 0.750 0.750
```

---

# 2
# FeMoP
Computed PXRD pattern, a wavelength of 1.5418 Å. Input: a DFT-relaxed cell (GGA-PBE, the Materials Project).
Intensities are scaled so that the largest is 100.

Largest 6 diffraction maxima, sorted by position, 2θ from 10° to 90°:
d 2.304, I 30.1, hkl 2 1 0; d 2.287, I 100.0, hkl 1 1 2; d 2.180, I 79.6, hkl 2 1 1; d 2.099, I 37.1, hkl 1 0 3; d 1.895, I 20.4, hkl 3 0 1; d 1.833, I 35.6, hkl 0 2 0

Structural model:
```
data_FeMoP
_chemical_formula_sum 'Fe4 Mo4 P4'
_cell_length_a 5.923
_cell_length_b 3.666
_cell_length_c 6.733
_cell_angle_alpha 90.00
_cell_angle_beta 90.00
_cell_angle_gamma 90.00
_space_group_name_H-M_alt 'P 1'
_space_group_IT_number 1
_space_group_name_Hall 'P 1'
loop_
_atom_site_label
_atom_site_type_symbol
_atom_site_fract_x
_atom_site_fract_y
_atom_site_fract_z
Fe1 Fe 0.139 0.250 0.062
Fe2 Fe 0.361 0.750 0.562
Fe3 Fe 0.639 0.250 0.438
Fe4 Fe 0.861 0.750 0.938
Mo1 Mo 0.028 0.250 0.673
Mo2 Mo 0.472 0.750 0.173
Mo3 Mo 0.528 0.250 0.827
Mo4 Mo 0.972 0.750 0.327
P1 P 0.230 0.750 0.880
P2 P 0.270 0.250 0.380
P3 P 0.730 0.750 0.620
P4 P 0.770 0.250 0.120
```

---

# 3
# Fe2MoP12
Computed PXRD pattern, a wavelength of 1.5418 Å. Input: a DFT-relaxed cell (GGA-PBE, the Materials Project).
Intensities are scaled so that the largest is 100.

Largest 6 diffraction maxima, sorted by position, 2θ from 10° to 90°:
d 3.822, I 97.3, hkl 1 1 2; d 2.603, I 51.8, hkl 4 1 2; d 2.575, I 58.6, hkl 3 1 3; d 1.889, I 63.4, hkl 4 2 3; d 1.763, I 100.0, hkl 7 1 2; d 1.753, I 67.7, hkl 0 2 5

Structural model:
```
data_Fe2MoP12
_chemical_formula_sum 'Fe8 Mo4 P48'
_cell_length_a 13.770
_cell_length_b 5.687
_cell_length_c 11.134
_cell_angle_alpha 90.00
_cell_angle_beta 90.00
_cell_angle_gamma 90.00
_space_group_name_H-M_alt 'P 1'
_space_group_IT_number 1
_space_group_name_Hall 'P 1'
loop_
_atom_site_label
_atom_site_type_symbol
_atom_site_fract_x
_atom_site_fract_y
_atom_site_fract_z
Fe1 Fe 0.150 0.103 0.041
Fe2 Fe 0.150 0.897 0.541
Fe3 Fe 0.350 0.397 0.541
Fe4 Fe 0.350 0.603 0.041
Fe5 Fe 0.650 0.397 0.959
Fe6 Fe 0.650 0.603 0.459
Fe7 Fe 0.850 0.103 0.459
Fe8 Fe 0.850 0.897 0.959
Mo1 Mo 0.000 0.399 0.750
Mo2 Mo 0.000 0.601 0.250
Mo3 Mo 0.500 0.101 0.250
Mo4 Mo 0.500 0.899 0.750
P1 P 0.008 0.256 0.102
P2 P 0.008 0.744 0.602
P3 P 0.087 0.062 0.856
P4 P 0.087 0.938 0.356
P5 P 0.092 0.265 0.561
P6 P 0.092 0.735 0.061
P7 P 0.168 0.484 0.304
P8 P 0.168 0.516 0.804
P9 P 0.189 0.119 0.229
P10 P 0.189 0.881 0.729
P11 P 0.203 0.467 0.000
P12 P 0.203 0.533 0.500
P13 P 0.297 0.033 0.500
P14 P 0.297 0.967 0.000
P15 P 0.311 0.381 0.729
P16 P 0.311 0.619 0.229
P17 P 0.332 0.016 0.804
P18 P 0.332 0.984 0.304
P19 P 0.408 0.235 0.061
P20 P 0.408 0.765 0.561
P21 P 0.413 0.438 0.356
P22 P 0.413 0.562 0.856
P23 P 0.492 0.244 0.602
P24 P 0.492 0.756 0.102
P25 P 0.508 0.244 0.898
P26 P 0.508 0.756 0.398
P27 P 0.587 0.438 0.144
P28 P 0.587 0.562 0.644
P29 P 0.592 0.235 0.439
P30 P 0.592 0.765 0.939
P31 P 0.668 0.016 0.696
P32 P 0.668 0.984 0.196
P33 P 0.689 0.381 0.771
P34 P 0.689 0.619 0.271
P35 P 0.703 0.033 0.000
P36 P 0.703 0.967 0.500
P37 P 0.797 0.467 0.500
P38 P 0.797 0.533 0.000
P39 P 0.811 0.119 0.271
P40 P 0.811 0.881 0.771
P41 P 0.832 0.484 0.196
P42 P 0.832 0.516 0.696
P43 P 0.908 0.265 0.939
P44 P 0.908 0.735 0.439
P45 P 0.913 0.062 0.644
P46 P 0.913 0.938 0.144
P47 P 0.992 0.256 0.398
P48 P 0.992 0.744 0.898
```

---

Q: Which formula does entry 2 have?
A: FeMoP

---

Please write out number 3 again, unchanged.
# Fe2MoP12
Computed PXRD pattern, a wavelength of 1.5418 Å. Input: a DFT-relaxed cell (GGA-PBE, the Materials Project).
Intensities are scaled so that the largest is 100.

Largest 6 diffraction maxima, sorted by position, 2θ from 10° to 90°:
d 3.822, I 97.3, hkl 1 1 2; d 2.603, I 51.8, hkl 4 1 2; d 2.575, I 58.6, hkl 3 1 3; d 1.889, I 63.4, hkl 4 2 3; d 1.763, I 100.0, hkl 7 1 2; d 1.753, I 67.7, hkl 0 2 5

Structural model:
```
data_Fe2MoP12
_chemical_formula_sum 'Fe8 Mo4 P48'
_cell_length_a 13.770
_cell_length_b 5.687
_cell_length_c 11.134
_cell_angle_alpha 90.00
_cell_angle_beta 90.00
_cell_angle_gamma 90.00
_space_group_name_H-M_alt 'P 1'
_space_group_IT_number 1
_space_group_name_Hall 'P 1'
loop_
_atom_site_label
_atom_site_type_symbol
_atom_site_fract_x
_atom_site_fract_y
_atom_site_fract_z
Fe1 Fe 0.150 0.103 0.041
Fe2 Fe 0.150 0.897 0.541
Fe3 Fe 0.350 0.397 0.541
Fe4 Fe 0.350 0.603 0.041
Fe5 Fe 0.650 0.397 0.959
Fe6 Fe 0.650 0.603 0.459
Fe7 Fe 0.850 0.103 0.459
Fe8 Fe 0.850 0.897 0.959
Mo1 Mo 0.000 0.399 0.750
Mo2 Mo 0.000 0.601 0.250
Mo3 Mo 0.500 0.101 0.250
Mo4 Mo 0.500 0.899 0.750
P1 P 0.008 0.256 0.102
P2 P 0.008 0.744 0.602
P3 P 0.087 0.062 0.856
P4 P 0.087 0.938 0.356
P5 P 0.092 0.265 0.561
P6 P 0.092 0.735 0.061
P7 P 0.168 0.484 0.304
P8 P 0.168 0.516 0.804
P9 P 0.189 0.119 0.229
P10 P 0.189 0.881 0.729
P11 P 0.203 0.467 0.000
P12 P 0.203 0.533 0.500
P13 P 0.297 0.033 0.500
P14 P 0.297 0.967 0.000
P15 P 0.311 0.381 0.729
P16 P 0.311 0.619 0.229
P17 P 0.332 0.016 0.804
P18 P 0.332 0.984 0.304
P19 P 0.408 0.235 0.061
P20 P 0.408 0.765 0.561
P21 P 0.413 0.438 0.356
P22 P 0.413 0.562 0.856
P23 P 0.492 0.244 0.602
P24 P 0.492 0.756 0.102
P25 P 0.508 0.244 0.898
P26 P 0.508 0.756 0.398
P27 P 0.587 0.438 0.144
P28 P 0.587 0.562 0.644
P29 P 0.592 0.235 0.439
P30 P 0.592 0.765 0.939
P31 P 0.668 0.016 0.696
P32 P 0.668 0.984 0.196
P33 P 0.689 0.381 0.771
P34 P 0.689 0.619 0.271
P35 P 0.703 0.033 0.000
P36 P 0.703 0.967 0.500
P37 P 0.797 0.467 0.500
P38 P 0.797 0.533 0.000
P39 P 0.811 0.119 0.271
P40 P 0.811 0.881 0.771
P41 P 0.832 0.484 0.196
P42 P 0.832 0.516 0.696
P43 P 0.908 0.265 0.939
P44 P 0.908 0.735 0.439
P45 P 0.913 0.062 0.644
P46 P 0.913 0.938 0.144
P47 P 0.992 0.256 0.398
P48 P 0.992 0.744 0.898
```